Computed powder diffraction line list
Compound: CsCrP2S7
Radiation: Cu Kα, 1.54184 Å
Structure: a GGA-PBE-relaxed structure
No peak broadening, texture or thermal motion is included.

Most intense lines, 2θ from 15° to 90°, in order of rising 2θ:
2θ = 17.76°, intensity 100.0; 2θ = 19.54°, intensity 82.4; 2θ = 22.17°, intensity 90.7; 2θ = 27.59°, intensity 83.4; 2θ = 30.80°, intensity 62.9; 2θ = 31.46°, intensity 60.9

a = 6.5415 Å, b = 6.5415 Å, c = 7.0629 Å
α = 94.79°, β = 94.79°, γ = 96.74°
Sites, in units of the cell vectors:
Cs  0.0000  0.0000  0.0000
Cr  0.5907  0.4093  0.5000
P  0.0436  0.5552  0.4268
P  0.4448  0.9564  0.5732
S  0.1150  0.8850  0.5000
S  0.2774  0.4439  0.2949
S  0.4615  0.2184  0.7555
S  0.5561  0.7226  0.7051
S  0.5788  0.0615  0.3438
S  0.7816  0.5385  0.2445
S  0.9385  0.4212  0.6562


Computed powder diffraction line list
Compound: CsCr5S8
Radiation: Cu Kα, 1.54184 Å
Structure: a GGA-PBE-relaxed structure
No peak broadening, texture or thermal motion is included.

Most intense lines, 2θ from 15° to 90°, in order of rising 2θ:
2θ = 20.18°, intensity 58.0; 2θ = 20.44°, intensity 56.2; 2θ = 27.42°, intensity 47.5; 2θ = 29.51°, intensity 57.5; 2θ = 32.41°, intensity 100.0; 2θ = 38.13°, intensity 82.1

a = 9.3508 Å, b = 9.3508 Å, c = 8.9168 Å
α = 102.76°, β = 102.76°, γ = 21.65°
Sites, in units of the cell vectors:
Cs  0.0000  0.0000  0.0000
Cr  0.0000  0.0000  0.5000
Cr  0.2949  0.2949  0.1654
Cr  0.3385  0.3385  0.5129
Cr  0.6615  0.6615  0.4871
Cr  0.7051  0.7051  0.8346
S  0.0938  0.0938  0.3522
S  0.1779  0.1779  0.9888
S  0.2387  0.2387  0.6571
S  0.4252  0.4252  0.3476
S  0.5748  0.5748  0.6524
S  0.7613  0.7613  0.3429
S  0.8221  0.8221  0.0112
S  0.9062  0.9062  0.6478


Computed powder diffraction line list
Compound: CsCr5S8
Radiation: Cu Kα, 1.54184 Å
Structure: a GGA-PBE-relaxed structure
No peak broadening, texture or thermal motion is included.

Most intense lines, 2θ from 15° to 90°, in order of rising 2θ:
2θ = 20.29°, intensity 77.0; 2θ = 32.77°, intensity 100.0; 2θ = 34.02°, intensity 51.3; 2θ = 40.56°, intensity 58.7; 2θ = 46.68°, intensity 51.6; 2θ = 52.38°, intensity 61.5

a = 9.2236 Å, b = 9.2236 Å, c = 8.8412 Å
α = 104.62°, β = 104.62°, γ = 22.03°
Sites, in units of the cell vectors:
Cs  0.0000  0.0000  0.0000
Cr  0.1600  0.1600  0.4796
Cr  0.2046  0.2046  0.8347
Cr  0.5000  0.5000  0.5000
Cr  0.7954  0.7954  0.1653
Cr  0.8400  0.8400  0.5204
S  0.0765  0.0765  0.6487
S  0.2612  0.2612  0.3427
S  0.3264  0.3264  0.0146
S  0.4112  0.4112  0.6608
S  0.5888  0.5888  0.3392
S  0.6736  0.6736  0.9854
S  0.7388  0.7388  0.6573
S  0.9235  0.9235  0.3513


Computed powder diffraction line list
Compound: CsCr5Se8
Radiation: Cu Kα, 1.54184 Å
Structure: a GGA-PBE-relaxed structure
No peak broadening, texture or thermal motion is included.

Most intense lines, 2θ from 15° to 90°, in order of rising 2θ:
2θ = 30.84°, intensity 44.9; 2θ = 31.03°, intensity 100.0; 2θ = 32.35°, intensity 71.2; 2θ = 33.06°, intensity 31.1; 2θ = 44.29°, intensity 33.1; 2θ = 49.47°, intensity 54.4

a = 9.7283 Å, b = 9.7283 Å, c = 9.2248 Å
α = 104.30°, β = 104.30°, γ = 22.03°
Sites, in units of the cell vectors:
Cs  0.0000  0.0000  0.0000
Cr  0.1597  0.1597  0.4835
Cr  0.2045  0.2045  0.8342
Cr  0.5000  0.5000  0.5000
Cr  0.7955  0.7955  0.1658
Cr  0.8403  0.8403  0.5165
Se  0.0750  0.0750  0.6532
Se  0.2608  0.2608  0.3420
Se  0.3274  0.3274  0.0117
Se  0.4110  0.4110  0.6628
Se  0.5890  0.5890  0.3372
Se  0.6726  0.6726  0.9883
Se  0.7392  0.7392  0.6580
Se  0.9250  0.9250  0.3468